Record 1
Simulated PXRD pattern of CaLa2S4 for Cu Kα, 1.54184 Å, from the GGA-PBE geometry in the Materials Project.
Peak positions follow from Bragg's law for the DFT cell and can differ from measured ones.

Crystal structure
```
data_CaLa2S4
_chemical_formula_sum 'Ca4 La8 S16'
_symmetry_space_group_name_H-M 'I -4 2 d'
_symmetry_Int_Tables_number 122
_symmetry_space_group_name_Hall 'I -4 2bw'
_cell_length_a 8.679
_cell_length_b 8.679
_cell_length_c 8.723
_cell_angle_alpha 90.00
_cell_angle_beta 90.00
_cell_angle_gamma 90.00
loop_
_atom_site_label
_atom_site_type_symbol
_atom_site_fract_x
_atom_site_fract_y
_atom_site_fract_z
Ca1 Ca 0.000 0.000 0.000
La1 La 0.130 0.250 0.625
S1 S 0.073 0.179 0.303
```

Main lines, most intense first (2θ from 5° to 70°):
two_theta	d_spacing	Rel. int.	(hkl)
25.08	3.550	100	1 1 2
32.62	2.745	87	3 1 0
38.70	2.326	52	2 1 3
38.81	2.320	34	3 2 1
46.77	1.942	31	4 0 2
32.47	2.757	30	1 0 3
49.15	1.854	28	3 2 3
66.36	1.409	28	5 3 2



Record 2
Simulated PXRD pattern of LiH2BrO5 for Cu Kα, 1.54184 Å, from the GGA-PBE geometry in the Materials Project.
Peak positions follow from Bragg's law for the DFT cell and can differ from measured ones.

Crystal structure
```
data_LiH2BrO5
_chemical_formula_sum 'Li8 H16 Br8 O40'
_symmetry_space_group_name_H-M 'C 1 2/c 1'
_symmetry_Int_Tables_number 15
_cell_length_a 18.652
_cell_length_b 6.102
_cell_length_c 10.912
_cell_angle_alpha 90.00
_cell_angle_beta 115.60
_cell_angle_gamma 90.00
loop_
_symmetry_equiv_pos_as_xyz
'x,y,z'
'-x,-y,-z'
'-x,y,-z+1/2'
'x,-y,z+1/2'
'x+1/2,y+1/2,z'
'-x+1/2,-y+1/2,-z'
'-x+1/2,y+1/2,-z+1/2'
'x+1/2,-y+1/2,z+1/2'
loop_
_atom_site_label
_atom_site_type_symbol
_atom_site_fract_x
_atom_site_fract_y
_atom_site_fract_z
Li1 Li 0.000 0.246 0.250
Li2 Li 0.250 0.250 0.500
H1 H 0.095 0.461 0.713
H2 H 0.206 0.135 0.943
Br1 Br 0.152 0.008 0.209
O1 O 0.052 0.254 0.126
O2 O 0.089 0.178 0.716
O3 O 0.094 0.389 0.248
O4 O 0.192 0.100 0.613
O5 O 0.238 0.045 0.909
```

Main lines, most intense first (2θ from 5° to 70°):
two_theta	d_spacing	Rel. int.	(hkl)
21.52	4.129	100	3 1 0
18.03	4.920	79	0 0 2
23.31	3.817	64	3 1 -2
15.45	5.736	54	1 1 0
21.07	4.216	53	4 0 -2
16.48	5.379	36	2 0 -2
25.53	3.489	30	1 1 2
10.52	8.410	27	2 0 0



Record 3
Simulated PXRD pattern of ZrMn2 for Cu Kα, 1.54184 Å, from the GGA-PBE geometry in the Materials Project.
Peak positions follow from Bragg's law for the DFT cell and can differ from measured ones.

Crystal structure
abc: 7.036 7.036 7.036
angles: 90.00 90.00 90.00
Space group Fd-3m (No. 227, origin choice 2)
Asymmetric unit:
Zr  0.125  0.125  0.125 x8
Mn  0.000  0.000  0.500 x16

Main lines, most intense first (2θ from 5° to 70°):
two_theta	d_spacing	Rel. int.	(hkl)
42.62	2.121	100	3 1 1
36.11	2.487	47	2 2 0
69.41	1.354	29	5 1 1
44.61	2.031	24	2 2 2
64.93	1.436	16	4 2 2
21.88	4.062	1	1 1 1



Record 4
Simulated PXRD pattern of Mg16Al12Bi for Cu Kα, 1.54184 Å, from the GGA-PBE geometry in the Materials Project.
Peak positions follow from Bragg's law for the DFT cell and can differ from measured ones.

Crystal structure
```
data_Mg16Al12Bi
_chemical_formula_sum 'Mg48 Al36 Bi3'
_symmetry_space_group_name_H-M 'R 3 m'
_symmetry_Int_Tables_number 160
_symmetry_space_group_name_Hall 'R 3 -2"'
_cell_length_a 14.8749
_cell_length_b 14.8749
_cell_length_c 9.3308
_cell_angle_alpha 90.00
_cell_angle_beta 90.00
_cell_angle_gamma 120.00
loop_
_atom_site_label
_atom_site_type_symbol
_atom_site_fract_x
_atom_site_fract_y
_atom_site_fract_z
Mg1 Mg 0.0000 0.0000 0.0000
Mg2 Mg 0.0124 0.3044 0.3025
Mg3 Mg 0.0687 0.5343 0.2150
Mg4 Mg 0.2107 0.1053 0.4949
Mg5 Mg 0.2175 0.4350 0.7784
Al1 Al 0.0626 0.1251 0.2958
Al2 Al 0.0893 0.5446 0.7235
Al3 Al 0.1453 0.4778 0.4836
Bi1 Bi 0.0000 0.0000 0.6555
```

Main lines, most intense first (2θ from 5° to 70°):
two_theta	d_spacing	Rel. int.	(hkl)
35.64	2.519	100	3 0 3
11.90	7.437	91	1 1 0
36.21	2.481	87	3 3 0
35.97	2.497	78	2 3 2
11.71	7.557	73	1 0 1
40.16	2.246	51	5 1 1
20.58	4.317	45	2 1 1
31.80	2.814	44	4 1 0



Record 5
Simulated PXRD pattern of Co3H for Cu Kα, 1.54184 Å, from the GGA-PBE geometry in the Materials Project.
Peak positions follow from Bragg's law for the DFT cell and can differ from measured ones.

Crystal structure
```
data_Co3H
_chemical_formula_sum 'Co6 H2'
_symmetry_space_group_name_H-M 'P 63/m m c'
_symmetry_Int_Tables_number 194
_symmetry_space_group_name_Hall '-P 6c 2c'
_cell_length_a 2.5455
_cell_length_b 2.5455
_cell_length_c 12.2857
_cell_angle_alpha 90.00
_cell_angle_beta 90.00
_cell_angle_gamma 120.00
loop_
_atom_site_label
_atom_site_type_symbol
_atom_site_fract_x
_atom_site_fract_y
_atom_site_fract_z
Co1 Co 0.3333 0.6667 0.0889
Co2 Co 0.3333 0.6667 0.7500
H1 H 0.0000 0.0000 0.0000
```

Main lines, most intense first (2θ from 5° to 70°):
two_theta	d_spacing	Rel. int.	(hkl)
46.80	1.941	100	1 0 3
44.23	2.048	26	0 0 6
40.94	2.204	25	1 0 0
61.84	1.500	13	1 0 6
56.05	1.641	1	1 0 5



Record 6
Simulated PXRD pattern of Bi3O2 for Cu Kα, 1.54184 Å, from the GGA-PBE geometry in the Materials Project.
Peak positions follow from Bragg's law for the DFT cell and can differ from measured ones.

Crystal structure
```
data_Bi3O2
_chemical_formula_sum 'Bi6 O4'
_symmetry_space_group_name_H-M 'I 4/m m m'
_symmetry_Int_Tables_number 139
_symmetry_space_group_name_Hall '-I 4 2'
_cell_length_a 3.951
_cell_length_b 3.951
_cell_length_c 14.258
_cell_angle_alpha 90.00
_cell_angle_beta 90.00
_cell_angle_gamma 90.00
loop_
_atom_site_label
_atom_site_type_symbol
_atom_site_fract_x
_atom_site_fract_y
_atom_site_fract_z
Bi1 Bi 0.000 0.000 0.000
Bi2 Bi 0.000 0.000 0.339
O1 O 0.000 0.500 0.250
```

Main lines, most intense first (2θ from 5° to 70°):
two_theta	d_spacing	Rel. int.	(hkl)
29.40	3.038	100	1 0 3
32.04	2.794	36	1 1 0
55.48	1.656	35	2 1 3
50.41	1.810	25	1 1 6
45.94	1.976	17	2 0 0
60.99	1.519	12	2 0 6
37.86	2.376	11	0 0 6
63.24	1.470	11	1 0 9